Diffraction record for CeHo3Os8. The powder diffractogram is simulated, not measured: it uses DFT lattice parameters and positions (PBE) and Cu Kα.

Principal peaks in the range 10° ≤ 2θ ≤ 80°, in order of rising 2θ:
d_spacing  I_rel
4.380  15.1
2.684  19.3
2.288  100.0
2.284  33.2
2.194  15.5
2.189  46.1
1.462  13.7
1.460  21.8
1.341  19.6
1.339  13.0

```
CeHo3Os8
1.0
4.639 -2.681 0.000
4.639 2.681 0.000
-3.074 0.000 8.777
Ce Ho Os
1 3 8
direct
0.000 0.000 0.000
0.125 0.125 0.376
0.500 0.500 0.502
0.625 0.625 0.876
0.063 0.063 0.686
0.063 0.559 0.686
0.065 0.563 0.191
0.313 0.313 0.939
0.559 0.063 0.686
0.563 0.065 0.191
0.563 0.563 0.191
0.813 0.813 0.439
```



Diffraction record for La2GdEr. The powder diffractogram is simulated, not measured: it uses DFT lattice parameters and positions (PBE) and Cu Kα.

Principal peaks in the range 10° ≤ 2θ ≤ 80°, in order of rising 2θ:
d_spacing  I_rel
4.107  0.7
2.904  100.0
2.054  18.7
1.677  39.5
1.452  12.2
1.299  16.8

```
La2GdEr
1.0
0.000 4.107 4.107
4.107 0.000 4.107
4.107 4.107 0.000
La Gd Er
2 1 1
direct
0.250 0.250 0.250
0.750 0.750 0.750
0.000 0.000 0.000
0.500 0.500 0.500
```



Diffraction record for La12Tb2Nd5. The powder diffractogram is simulated, not measured: it uses DFT lattice parameters and positions (PBE) and Cu Kα.

Principal peaks in the range 10° ≤ 2θ ≤ 80°, in order of rising 2θ:
d_spacing  I_rel
3.315  32.4
3.074  23.9
2.998  57.6
2.957  17.2
2.897  100.0
2.793  41.6
2.652  21.9
2.611  18.6
1.967  13.3
1.711  19.8

```
La12Tb2Nd5
1.0
9.186 -5.996 0.000
9.186 5.996 0.000
-1.391 0.000 6.215
La Tb Nd
12 2 5
direct
0.047 0.562 0.800
0.054 0.054 0.270
0.142 0.650 0.378
0.350 0.858 0.622
0.383 0.383 0.999
0.438 0.953 0.200
0.562 0.047 0.800
0.617 0.617 0.001
0.650 0.142 0.378
0.858 0.350 0.622
0.946 0.946 0.730
0.953 0.438 0.200
0.267 0.733 0.000
0.733 0.267 0.000
0.179 0.179 0.854
0.286 0.286 0.442
0.500 0.500 0.500
0.714 0.714 0.558
0.821 0.821 0.146
```



Diffraction record for MgZr2Pd9. The powder diffractogram is simulated, not measured: it uses DFT lattice parameters and positions (PBE) and Cu Kα.

Principal peaks in the range 10° ≤ 2θ ≤ 80°, in order of rising 2θ:
d_spacing  I_rel
4.027  2.0
3.341  1.3
2.834  1.6
2.318  100.0
2.014  32.7
1.994  15.7
1.424  10.4
1.417  20.2
1.213  24.1
1.205  11.6

```
MgZr2Pd9
1.0
4.027 0.000 0.000
0.000 4.027 0.000
0.000 0.000 11.966
Mg Zr Pd
1 2 9
direct
0.000 0.000 0.000
0.000 0.000 0.327
0.000 0.000 0.673
0.000 0.500 0.166
0.000 0.500 0.500
0.000 0.500 0.834
0.500 0.000 0.166
0.500 0.000 0.500
0.500 0.000 0.834
0.500 0.500 0.000
0.500 0.500 0.334
0.500 0.500 0.666
```



Diffraction record for Sr2Al2InRh5. The powder diffractogram is simulated, not measured: it uses DFT lattice parameters and positions (PBE) and Cu Kα.

Principal peaks in the range 10° ≤ 2θ ≤ 80°, in order of rising 2θ:
d_spacing  I_rel
2.696  29.1
2.570  60.9
2.467  33.0
2.369  29.6
2.343  100.0
2.188  30.2
1.639  15.9
1.477  13.8
1.382  17.0
1.363  19.3

```
Sr2Al2InRh5
1.0
10.596 0.000 0.000
0.000 10.596 0.000
0.000 0.000 3.278
Sr Al In Rh
4 4 2 10
direct
0.176 0.324 0.000
0.324 0.824 0.000
0.676 0.176 0.000
0.824 0.676 0.000
0.124 0.624 0.000
0.376 0.124 0.000
0.624 0.876 0.000
0.876 0.376 0.000
0.000 0.000 0.000
0.500 0.500 0.000
0.000 0.500 0.500
0.063 0.790 0.500
0.210 0.063 0.500
0.290 0.563 0.500
0.437 0.290 0.500
0.500 0.000 0.500
0.563 0.710 0.500
0.710 0.437 0.500
0.790 0.937 0.500
0.937 0.210 0.500
```



Diffraction record for Nd3ScCd2. The powder diffractogram is simulated, not measured: it uses DFT lattice parameters and positions (PBE) and Cu Kα.

Principal peaks in the range 10° ≤ 2θ ≤ 80°, in order of rising 2θ:
d_spacing  I_rel
2.794  26.1
2.737  25.7
2.721  100.0
1.958  9.2
1.953  9.1
1.600  9.0
1.578  9.4
1.576  9.3
1.558  9.0
1.361  10.9

```
Nd3ScCd2
1.0
5.475 0.000 0.000
0.000 3.789 0.000
-2.717 0.000 8.383
Nd Sc Cd
3 1 2
direct
0.000 0.000 0.000
0.328 0.000 0.658
0.672 0.000 0.342
0.500 0.500 0.000
0.159 0.500 0.318
0.841 0.500 0.682
```



Diffraction record for SrTlHg. The powder diffractogram is simulated, not measured: it uses DFT lattice parameters and positions (PBE) and Cu Kα.

Principal peaks in the range 10° ≤ 2θ ≤ 80°, in order of rising 2θ:
d_spacing  I_rel
6.595  21.2
3.725  40.7
2.718  24.1
2.663  100.0
2.641  55.1
2.257  19.7
1.736  13.0
1.717  15.6
1.530  15.8
1.369  13.1

```
SrTlHg
1.0
10.575 0.000 0.000
0.000 4.514 0.000
0.000 0.000 8.436
Sr Tl Hg
4 4 4
direct
0.107 0.250 0.180
0.393 0.750 0.680
0.607 0.250 0.320
0.893 0.750 0.820
0.112 0.750 0.497
0.388 0.250 0.997
0.612 0.750 0.003
0.888 0.250 0.503
0.131 0.250 0.781
0.369 0.750 0.281
0.631 0.250 0.719
0.869 0.750 0.219
```



Diffraction record for CaNd5Cu6. The powder diffractogram is simulated, not measured: it uses DFT lattice parameters and positions (PBE) and Cu Kα.

Principal peaks in the range 10° ≤ 2θ ≤ 80°, in order of rising 2θ:
d_spacing  I_rel
3.596  11.0
3.568  5.4
2.543  50.6
2.533  100.0
1.798  17.5
1.784  8.5
1.466  34.8
1.460  17.2
1.271  5.3
1.266  10.4

```
CaNd5Cu6
1.0
2.542 -7.631 0.000
2.542 7.631 0.000
0.000 0.000 7.135
Ca Nd Cu
1 5 6
direct
0.000 0.000 0.000
0.000 0.000 0.500
0.333 0.667 0.500
0.337 0.663 0.000
0.663 0.337 0.000
0.667 0.333 0.500
0.171 0.829 0.252
0.171 0.829 0.748
0.500 0.500 0.261
0.500 0.500 0.739
0.829 0.171 0.252
0.829 0.171 0.748
```



Diffraction record for Na2TlSn5. The powder diffractogram is simulated, not measured: it uses DFT lattice parameters and positions (PBE) and Cu Kα.

Principal peaks in the range 10° ≤ 2θ ≤ 80°, in order of rising 2θ:
d_spacing  I_rel
4.616  18.2
3.427  17.5
2.752  100.0
2.558  19.8
2.308  31.1
1.714  18.2
1.632  10.9
1.513  7.6
1.510  7.6
1.404  19.7

```
Na2TlSn5
1.0
4.617 -4.616 0.000
4.617 4.616 0.000
-4.601 0.000 5.116
Na Tl Sn
2 1 5
direct
0.250 0.750 0.000
0.750 0.250 0.000
0.254 0.254 0.009
0.254 0.254 0.506
0.254 0.752 0.507
0.752 0.254 0.507
0.752 0.752 0.508
0.779 0.779 0.057
```



Diffraction record for NbAlPt3. The powder diffractogram is simulated, not measured: it uses DFT lattice parameters and positions (PBE) and Cu Kα.

Principal peaks in the range 10° ≤ 2θ ≤ 80°, in order of rising 2θ:
d_spacing  I_rel
4.533  10.7
3.205  2.8
2.617  100.0
2.267  58.8
2.027  5.4
1.851  1.4
1.603  40.4
1.511  2.7
1.367  40.6
1.309  13.7

```
NbAlPt3
1.0
4.533 0.000 0.000
0.000 4.533 0.000
0.000 0.000 4.533
Nb Al Pt
1 1 3
direct
0.000 0.000 0.000
0.500 0.500 0.500
0.000 0.500 0.500
0.500 0.000 0.500
0.500 0.500 0.000
```



Diffraction record for La5Ir3. The powder diffractogram is simulated, not measured: it uses DFT lattice parameters and positions (PBE) and Cu Kα.

Principal peaks in the range 10° ≤ 2θ ≤ 80°, in order of rising 2θ:
d_spacing  I_rel
3.164  26.3
2.841  64.2
2.770  69.2
2.563  66.4
2.545  100.0
2.494  37.4
2.124  36.2
1.680  28.7
1.443  23.3
1.420  27.1

```
La5Ir3
1.0
-5.732 5.732 3.164
5.732 -5.732 3.164
5.732 5.732 -3.164
La Ir
10 6
direct
0.087 0.790 0.877
0.210 0.087 0.297
0.250 0.750 0.500
0.290 0.587 0.877
0.413 0.290 0.703
0.587 0.710 0.297
0.710 0.413 0.123
0.750 0.250 0.500
0.790 0.913 0.703
0.913 0.210 0.123
0.155 0.345 0.500
0.250 0.250 0.000
0.345 0.845 0.189
0.655 0.155 0.811
0.750 0.750 0.000
0.845 0.655 0.500
```



Diffraction record for AgRhSe2. The powder diffractogram is simulated, not measured: it uses DFT lattice parameters and positions (PBE) and Cu Kα.

Principal peaks in the range 10° ≤ 2θ ≤ 80°, in order of rising 2θ:
d_spacing  I_rel
5.001  31.7
4.346  29.8
2.729  34.0
2.618  68.1
2.605  61.5
2.498  100.0
2.159  36.6
1.986  33.0
1.885  71.0
1.607  23.6

```
AgRhSe2
1.0
6.114 0.000 0.000
0.000 8.692 0.000
0.000 0.000 6.099
Ag Rh Se
4 4 8
direct
0.250 0.250 0.229
0.250 0.250 0.729
0.750 0.750 0.271
0.750 0.750 0.771
0.000 0.000 0.000
0.000 0.500 0.500
0.500 0.000 0.500
0.500 0.500 0.000
0.134 0.562 0.134
0.134 0.938 0.634
0.366 0.562 0.634
0.366 0.938 0.134
0.634 0.062 0.866
0.634 0.438 0.366
0.866 0.062 0.366
0.866 0.438 0.866
```